The following is a computed X-ray powder pattern of Y5HoEr5. It was derived from DFT lattice parameters and positions (GGA-PBE), using Cu Kα X-rays.

Lattice parameters (Å, degrees): 6.8274 6.8280 8.5315 75.14 75.09 70.30
Atoms (fractional coordinates):
Y: 0.0000 0.0000 0.0000
Y: 0.1454 0.1466 0.3630
Y: 0.3131 0.3161 0.6357
Y: 0.6869 0.6839 0.3643
Y: 0.8546 0.8534 0.6370
Ho: 0.5000 0.0000 0.0000
Er: 0.0000 0.5000 0.0000
Er: 0.2289 0.6484 0.2732
Er: 0.3516 0.7733 0.7255
Er: 0.6484 0.2267 0.2745
Er: 0.7711 0.3516 0.7268

Largest 8 diffraction maxima, sorted by position, 5° ≤ 2θ ≤ 70°:
31.74°, d = 2.819 Å, rel. 28, (1 1 -2); 32.08°, d = 2.790 Å, rel. 81, (2 2 1); 32.30°, d = 2.771 Å, rel. 97, (0 2 -1); 32.53°, d = 2.752 Å, rel. 100, (2 0 2); 33.18°, d = 2.700 Å, rel. 30, (0 0 3); 50.71°, d = 1.800 Å, rel. 20, (1 -1 4); 57.15°, d = 1.612 Å, rel. 21, (2 4 0); 57.35°, d = 1.607 Å, rel. 20, (0 4 1)